Record 1
Structure and theoretical X-ray powder pattern of AcLa4Pt5 (a GGA-PBE-relaxed structure; CuKα).

Peak list (8 most intense, 15° ≤ 2θ ≤ 90°, low angle first)
2θ/deg	I (rel.)	h k l
25.48	3	2 1 1
29.50	100	0 0 2
42.21	76	1 3 2
49.95	1	2 1 3
52.34	27	4 2 2
61.23	13	0 0 4
69.41	35	1 3 4
77.17	26	4 2 4

Cell and atoms:
Unit cell a=9.574 b=9.574 c=6.056 alpha=90.00 beta=90.00 gamma=90.00
Space group I4/m (No. 87)
Symmetry-distinct sites (fractional):
Ac (0.000, 0.000, 0.000) (multiplicity 2)
La (0.102, 0.300, 0.500) (multiplicity 8)
Pt (0.000, 0.000, 0.500) (multiplicity 2)
Pt (0.102, 0.306, 0.000) (multiplicity 8)



Record 2
Structure and theoretical X-ray powder pattern of AcSi4Pd6 (a GGA-PBE-relaxed structure; CuKα).

Peak list (8 most intense, 15° ≤ 2θ ≤ 90°, low angle first)
2θ/deg	I (rel.)	h k l
26.09	22	1 0 1
28.90	22	2 0 0
33.29	19	1 1 1
36.41	100	2 0 1
38.54	28	2 1 0
44.19	20	0 0 2
51.21	16	2 2 0
60.06	15	2 1 2

Cell and atoms:
Unit cell a=7.1358 b=7.1358 c=4.0990 alpha=90.00 beta=90.00 gamma=120.00
Space group P-6m2 (No. 187)
Symmetry-distinct sites (fractional):
Ac (0.0000, 0.0000, 0.0000) (multiplicity 1)
Si (0.3333, 0.6667, 0.0000) (multiplicity 1)
Si (0.4100, 0.2050, 0.5000) (multiplicity 3)
Pd (0.2007, 0.4015, 0.5000) (multiplicity 3)
Pd (0.5333, 0.0666, 0.0000) (multiplicity 3)



Record 3
Structure and theoretical X-ray powder pattern of HfPd3O6 (a GGA-PBE-relaxed structure; CuKα).

Peak list (8 most intense, 15° ≤ 2θ ≤ 90°, low angle first)
2θ/deg	I (rel.)	h k l
31.14	100	0 2 1
31.53	95	2 2 0
35.85	22	0 4 0
36.58	42	2 0 1
52.16	78	0 0 2
53.21	14	4 0 0
62.25	27	2 2 2
62.95	26	4 2 1

Cell and atoms:
Unit cell a=6.885 b=10.020 c=3.506 alpha=90.00 beta=90.00 gamma=90.00
Space group Cmmm (No. 65)
Symmetry-distinct sites (fractional):
Hf (0.000, 0.000, 0.000) (multiplicity 2)
Pd (0.000, 0.500, 0.000) (multiplicity 2)
Pd (0.250, 0.250, 0.500) (multiplicity 4)
O (0.000, 0.132, 0.500) (multiplicity 4)
O (0.226, 0.375, 0.000) (multiplicity 8)



Record 4
Structure and theoretical X-ray powder pattern of Dy3Y8Sc3 (a GGA-PBE-relaxed structure; CuKα).

Peak list (8 most intense, 15° ≤ 2θ ≤ 90°, low angle first)
2θ/deg	I (rel.)	h k l
24.14	25	1 0 3
26.17	33	0 3 1
29.62	37	1 2 3
30.26	51	1 1 4
31.36	35	0 3 3
32.30	57	2 0 0
32.59	100	1 3 2
34.34	40	1 0 5

Cell and atoms:
Unit cell a=5.543 b=10.496 c=14.803 alpha=90.00 beta=90.00 gamma=90.00
Space group Immm (No. 71)
Symmetry-distinct sites (fractional):
Dy (0.000, 0.000, 0.000) (multiplicity 2)
Dy (0.000, 0.500, 0.324) (multiplicity 4)
Y (0.000, 0.158, 0.280) (multiplicity 8)
Y (0.000, 0.340, 0.102) (multiplicity 8)
Sc (0.000, 0.000, 0.500) (multiplicity 2)
Sc (0.000, 0.294, 0.500) (multiplicity 4)



Record 5
Structure and theoretical X-ray powder pattern of DyCd2Rh3 (a GGA-PBE-relaxed structure; CuKα).

Peak list (8 most intense, 15° ≤ 2θ ≤ 90°, low angle first)
2θ/deg	I (rel.)	h k l
23.45	1	1 0 1
27.14	1	0 1 2
38.76	100	1 1 0
45.80	1	0 1 5
55.98	17	0 2 4
63.29	1	1 2 2
70.17	33	3 0 0
83.16	11	2 2 0

Cell and atoms:
Unit cell a=4.6464 b=4.6464 c=11.3809 alpha=90.00 beta=90.00 gamma=120.00
Space group P-3m1 (No. 164)
Symmetry-distinct sites (fractional):
Dy (0.3333, 0.6667, 0.1691) (multiplicity 2)
Cd (0.0000, 0.0000, 0.0000) (multiplicity 1)
Cd (0.0000, 0.0000, 0.5000) (multiplicity 1)
Cd (0.3333, 0.6667, 0.6628) (multiplicity 2)
Rh (0.0000, 0.0000, 0.2531) (multiplicity 2)
Rh (0.3333, 0.6667, 0.4177) (multiplicity 2)
Rh (0.3333, 0.6667, 0.9167) (multiplicity 2)



Record 6
Structure and theoretical X-ray powder pattern of Cs7Rb4Au (a GGA-PBE-relaxed structure; CuKα).

Peak list (8 most intense, 15° ≤ 2θ ≤ 90°, low angle first)
2θ/deg	I (rel.)	h k l
20.72	100	1 1 3
23.51	34	4 0 1
24.13	33	0 2 0
24.26	33	2 0 -5
33.97	39	4 2 1
34.48	25	2 2 -5
40.49	21	1 3 3
42.16	28	2 2 6

Cell and atoms:
Unit cell a=16.823 b=7.375 c=18.729 alpha=90.00 beta=104.24 gamma=90.00
Space group C2/m (No. 12)
Symmetry-distinct sites (fractional):
Cs (0.000, 0.000, 0.000) (multiplicity 2)
Cs (0.089, 0.000, 0.645) (multiplicity 4)
Cs (0.138, 0.500, 0.450) (multiplicity 4)
Cs (0.215, 0.500, 0.087) (multiplicity 4)
Rb (0.043, 0.500, 0.825) (multiplicity 4)
Rb (0.184, 0.000, 0.267) (multiplicity 4)
Au (0.000, 0.500, 0.000) (multiplicity 2)



Record 7
Structure and theoretical X-ray powder pattern of SnGe2Sb2Au7 (a GGA-PBE-relaxed structure; CuKα).

Peak list (8 most intense, 15° ≤ 2θ ≤ 90°, low angle first)
2θ/deg	I (rel.)	h k l
30.83	56	2 0 0
32.41	42	2 0 -3
34.90	100	2 0 -4
38.12	30	2 0 3
40.15	31	0 0 7
41.97	42	2 0 4
43.37	82	2 2 -1
63.00	29	0 4 0

Cell and atoms:
Unit cell a=5.904 b=5.899 c=15.988 alpha=90.00 beta=100.49 gamma=90.00
Space group C2/m (No. 12)
Symmetry-distinct sites (fractional):
Sn (0.000, 0.000, 0.000) (multiplicity 2)
Ge (0.118, 0.500, 0.244) (multiplicity 4)
Sb (0.210, 0.000, 0.422) (multiplicity 4)
Au (0.000, 0.500, 0.000) (multiplicity 2)
Au (0.180, 0.250, 0.854) (multiplicity 8)
Au (0.200, 0.500, 0.404) (multiplicity 4)



Record 8
Structure and theoretical X-ray powder pattern of MoPd3Pt (a GGA-PBE-relaxed structure; CuKα).

Peak list (8 most intense, 15° ≤ 2θ ≤ 90°, low angle first)
2θ/deg	I (rel.)	h k l
20.30	26	0 2 0
23.80	31	0 2 1
40.74	100	1 2 1
41.30	87	0 4 0
42.99	65	0 2 3
59.83	27	1 4 2
74.89	15	1 6 1
84.12	18	2 2 3

Cell and atoms:
Unit cell a=2.749 b=8.748 c=7.200 alpha=90.00 beta=90.00 gamma=90.00
Space group Pmmn (No. 59, origin choice 2)
Symmetry-distinct sites (fractional):
Mo (0.250, 0.250, 0.020) (multiplicity 2)
Pd (0.250, 0.513, 0.827) (multiplicity 4)
Pd (0.250, 0.750, 0.306) (multiplicity 2)
Pt (0.250, 0.250, 0.370) (multiplicity 2)



Record 9
Structure and theoretical X-ray powder pattern of Mg8Zn3Hg3 (a GGA-PBE-relaxed structure; CuKα).

Peak list (8 most intense, 15° ≤ 2θ ≤ 90°, low angle first)
2θ/deg	I (rel.)	h k l
25.77	69	0 0 2
26.27	39	0 2 0
28.99	100	0 1 -2
30.27	42	2 -1 1
36.97	45	2 0 -1
37.21	80	0 2 -2
38.06	43	2 0 3
38.47	56	2 -2 1

Cell and atoms:
Unit cell a=6.662 b=6.789 c=7.592 alpha=89.12 beta=65.59 gamma=88.24
Space group P-1 (No. 2)
Symmetry-distinct sites (fractional):
Mg (0.062, 0.165, 0.324) (multiplicity 2)
Mg (0.167, 0.727, 0.226) (multiplicity 2)
Mg (0.377, 0.159, 0.680) (multiplicity 2)
Mg (0.390, 0.720, 0.767) (multiplicity 2)
Zn (0.379, 0.360, 0.002) (multiplicity 2)
Zn (0.500, 0.000, 0.000) (multiplicity 1)
Hg (0.000, 0.500, 0.000) (multiplicity 1)
Hg (0.240, 0.494, 0.512) (multiplicity 2)



Record 10
Structure and theoretical X-ray powder pattern of NdNb2CuClO7 (a GGA-PBE-relaxed structure; CuKα).

Peak list (8 most intense, 15° ≤ 2θ ≤ 90°, low angle first)
2θ/deg	I (rel.)	h k l
23.99	14	1 0 1
27.39	53	1 0 2
32.36	100	1 1 0
44.97	21	1 1 4
46.49	30	2 0 0
54.80	15	2 1 2
57.56	13	1 1 6
57.74	20	2 1 3

Cell and atoms:
Unit cell a=3.907 b=3.907 c=11.790 alpha=90.00 beta=90.00 gamma=90.00
Space group P4/mmm (No. 123)
Symmetry-distinct sites (fractional):
Nd (0.000, 0.000, 0.000) (multiplicity 1)
Nb (0.500, 0.500, 0.191) (multiplicity 2)
Cu (0.500, 0.500, 0.500) (multiplicity 1)
Cl (0.000, 0.000, 0.500) (multiplicity 1)
O (0.000, 0.500, 0.151) (multiplicity 4)
O (0.500, 0.500, 0.000) (multiplicity 1)
O (0.500, 0.500, 0.344) (multiplicity 2)